Theoretical powder XRD pattern
Compound: YCo3
Radiation: Cu Kα X-rays
Structure: a GGA-PBE-relaxed structure
Peak positions follow from Bragg's law for the DFT cell and can differ from measured ones.

The 10 most intense peaks (2θ from 10° to 80°), by angle:
2θ = 34.58°, I 49, hkl 1 0 5; 2θ = 35.94°, I 37, hkl 1 1 0; 2θ = 42.13°, I 37, hkl 2 0 1; 2θ = 42.51°, I 100, hkl 1 1 4; 2θ = 44.75°, I 18, hkl 0 0 8; 2θ = 45.14°, I 29, hkl 2 0 3; 2θ = 63.74°, I 16, hkl 2 1 5; 2θ = 67.71°, I 16, hkl 2 0 9; 2θ = 69.12°, I 28, hkl 3 0 4; 2θ = 76.21°, I 22, hkl 2 2 0

Structural model:
```
data_YCo3
_symmetry_space_group_name_H-M 'P 63/m m c'
_symmetry_Int_Tables_number 194
_symmetry_space_group_name_Hall '-P 6c 2c'
_cell_length_a 4.9972
_cell_length_b 4.9972
_cell_length_c 16.1998
_cell_angle_alpha 90.00
_cell_angle_beta 90.00
_cell_angle_gamma 120.00
loop_
_atom_site_label
_atom_site_type_symbol
_atom_site_fract_x
_atom_site_fract_y
_atom_site_fract_z
_atom_site_occupancy
Y1 Y 0.3333 0.6667 0.0402 1
Y2 Y 0.3333 0.6667 0.2500 1
Co1 Co 0.0000 0.0000 0.0000 1
Co2 Co 0.0000 0.0000 0.2500 1
Co3 Co 0.1664 0.3328 0.6286 1
Co4 Co 0.3333 0.6667 0.7500 1
```

Theoretical powder XRD pattern
Compound: Y3Co2
Radiation: Cu Kα X-rays
Structure: a GGA-PBE-relaxed structure
Peak positions follow from Bragg's law for the DFT cell and can differ from measured ones.

The 10 most intense peaks (2θ from 10° to 80°), by angle:
2θ = 29.17°, I 13, hkl 0 4 0; 2θ = 31.84°, I 10, hkl 0 3 1; 2θ = 31.99°, I 21, hkl 3 2 0; 2θ = 33.30°, I 100, hkl 2 2 1; 2θ = 38.68°, I 26, hkl 1 4 1; 2θ = 45.63°, I 10, hkl 4 1 1; 2θ = 46.90°, I 19, hkl 0 0 2; 2θ = 53.52°, I 10, hkl 3 6 0; 2θ = 57.88°, I 11, hkl 3 2 2; 2θ = 62.60°, I 12, hkl 5 4 1

Structural model:
```
data_Y3Co2
_symmetry_space_group_name_H-M 'P n n m'
_symmetry_Int_Tables_number 58
_cell_length_a 9.4351
_cell_length_b 12.2469
_cell_length_c 3.8742
_cell_angle_alpha 90.00
_cell_angle_beta 90.00
_cell_angle_gamma 90.00
loop_
_symmetry_equiv_pos_as_xyz
'x,y,z'
'-x,-y,-z'
'-x,-y,z'
'x,y,-z'
'x+1/2,-y+1/2,-z+1/2'
'-x+1/2,y+1/2,z+1/2'
'-x+1/2,y+1/2,-z+1/2'
'x+1/2,-y+1/2,z+1/2'
loop_
_atom_site_label
_atom_site_type_symbol
_atom_site_fract_x
_atom_site_fract_y
_atom_site_fract_z
_atom_site_occupancy
Y1 Y 0.0699 0.1350 0.0000 1
Y2 Y 0.1255 0.6147 0.0000 1
Y3 Y 0.1954 0.3740 0.5000 1
Co1 Co 0.1223 0.9673 0.5000 1
Co2 Co 0.1386 0.7710 0.5000 1
```

Theoretical powder XRD pattern
Compound: Y4Co3
Radiation: Cu Kα X-rays
Structure: a GGA-PBE-relaxed structure
Peak positions follow from Bragg's law for the DFT cell and can differ from measured ones.

The 10 most intense peaks (2θ from 10° to 80°), by angle:
2θ = 32.74°, I 100, hkl 2 1 1; 2θ = 32.95°, I 28, hkl 3 1 0; 2θ = 35.28°, I 36, hkl 0 3 1; 2θ = 38.81°, I 14, hkl 4 -2 1; 2θ = 39.93°, I 9, hkl 1 3 1; 2θ = 42.26°, I 30, hkl 1 4 0; 2θ = 44.68°, I 19, hkl 0 0 2; 2θ = 46.16°, I 10, hkl 5 -2 1; 2θ = 63.18°, I 12, hkl 1 4 2; 2θ = 63.57°, I 23, hkl 5 2 1

Structural model:
```
data_Y4Co3
_symmetry_space_group_name_H-M 'P -3'
_symmetry_Int_Tables_number 147
_cell_length_a 11.3160
_cell_length_b 11.3160
_cell_length_c 4.0568
_cell_angle_alpha 90.00
_cell_angle_beta 90.00
_cell_angle_gamma 120.00
loop_
_symmetry_equiv_pos_as_xyz
'x,y,z'
'-x,-y,-z'
'-y,x-y,z'
'y,-x+y,-z'
'-x+y,-x,z'
'x-y,x,-z'
loop_
_atom_site_label
_atom_site_type_symbol
_atom_site_fract_x
_atom_site_fract_y
_atom_site_fract_z
_atom_site_occupancy
Y1 Y 0.0265 0.7785 0.2498 1
Y2 Y 0.1349 0.5147 0.2492 1
Co1 Co 0.0000 0.0000 0.0000 1
Co2 Co 0.1589 0.7186 0.7515 1
Co3 Co 0.3333 0.6667 0.7487 1
```

Theoretical powder XRD pattern
Compound: YCo5
Radiation: Cu Kα X-rays
Structure: a GGA-PBE-relaxed structure
Peak positions follow from Bragg's law for the DFT cell and can differ from measured ones.

The 10 most intense peaks (2θ from 10° to 80°), by angle:
2θ = 31.37°, I 4, hkl 1 0 1; 2θ = 35.89°, I 14, hkl 1 0 2; 2θ = 39.89°, I 3, hkl 0 0 4; 2θ = 42.52°, I 100, hkl 1 1 0; 2θ = 50.53°, I 13, hkl 1 0 4; 2θ = 59.72°, I 6, hkl 1 1 4; 2θ = 61.75°, I 14, hkl 2 0 0; 2θ = 69.84°, I 3, hkl 1 0 6; 2θ = 73.53°, I 3, hkl 2 1 2; 2θ = 77.83°, I 17, hkl 2 1 3

Structural model:
```
data_YCo5
_symmetry_space_group_name_H-M 'P 4/m m m'
_symmetry_Int_Tables_number 123
_symmetry_space_group_name_Hall '-P 4 2'
_cell_length_a 3.0046
_cell_length_b 3.0046
_cell_length_c 9.0398
_cell_angle_alpha 90.00
_cell_angle_beta 90.00
_cell_angle_gamma 90.00
loop_
_atom_site_label
_atom_site_type_symbol
_atom_site_fract_x
_atom_site_fract_y
_atom_site_fract_z
_atom_site_occupancy
Y1 Y 0.0000 0.0000 0.0000 1
Co1 Co 0.0000 0.0000 0.3605 1
Co2 Co 0.5000 0.5000 0.2252 1
Co3 Co 0.5000 0.5000 0.5000 1
```

Theoretical powder XRD pattern
Compound: Y5Co3
Radiation: Cu Kα X-rays
Structure: a GGA-PBE-relaxed structure
Peak positions follow from Bragg's law for the DFT cell and can differ from measured ones.

The 10 most intense peaks (2θ from 10° to 80°), by angle:
2θ = 30.63°, I 14, hkl 1 1 4; 2θ = 33.93°, I 100, hkl 2 1 3; 2θ = 35.60°, I 62, hkl 2 0 4; 2θ = 35.85°, I 19, hkl 2 2 0; 2θ = 37.57°, I 14, hkl 0 0 6; 2θ = 40.26°, I 40, hkl 3 1 0; 2θ = 53.73°, I 13, hkl 4 1 1; 2θ = 56.94°, I 15, hkl 4 1 3; 2θ = 61.21°, I 16, hkl 3 3 4; 2θ = 71.63°, I 13, hkl 4 1 7

Structural model:
```
data_Y5Co3
_symmetry_space_group_name_H-M 'I 4/m c m'
_symmetry_Int_Tables_number 140
_symmetry_space_group_name_Hall '-I 4 2c'
_cell_length_a 7.0845
_cell_length_b 7.0845
_cell_length_c 14.3658
_cell_angle_alpha 90.00
_cell_angle_beta 90.00
_cell_angle_gamma 90.00
loop_
_atom_site_label
_atom_site_type_symbol
_atom_site_fract_x
_atom_site_fract_y
_atom_site_fract_z
_atom_site_occupancy
Y1 Y 0.0000 0.0000 0.0000 1
Y2 Y 0.1776 0.3224 0.1437 1
Co1 Co 0.0000 0.0000 0.2500 1
Co2 Co 0.1114 0.3886 0.5000 1
```

Theoretical powder XRD pattern
Compound: Y4Co3
Radiation: Cu Kα X-rays
Structure: a GGA-PBE-relaxed structure
Peak positions follow from Bragg's law for the DFT cell and can differ from measured ones.

The 10 most intense peaks (2θ from 10° to 80°), by angle:
2θ = 34.09°, I 46, hkl 1 1 0; 2θ = 35.45°, I 100, hkl 1 0 2; 2θ = 37.24°, I 42, hkl 1 1 1; 2θ = 39.57°, I 26, hkl 2 0 0; 2θ = 42.36°, I 46, hkl 2 0 1; 2θ = 57.32°, I 18, hkl 1 1 3; 2θ = 61.14°, I 9, hkl 2 0 3; 2θ = 61.90°, I 37, hkl 2 1 2; 2θ = 71.59°, I 9, hkl 1 1 4; 2θ = 71.78°, I 16, hkl 2 2 0

Structural model:
```
data_Y4Co3
_symmetry_space_group_name_H-M 'P 6/m m m'
_symmetry_Int_Tables_number 191
_symmetry_space_group_name_Hall '-P 6 2'
_cell_length_a 5.2603
_cell_length_b 5.2603
_cell_length_c 6.0924
_cell_angle_alpha 90.00
_cell_angle_beta 90.00
_cell_angle_gamma 120.00
loop_
_atom_site_label
_atom_site_type_symbol
_atom_site_fract_x
_atom_site_fract_y
_atom_site_fract_z
_atom_site_occupancy
Y1 Y 0.0000 0.0000 0.2377 1
Y2 Y 0.3333 0.6667 0.5000 1
Co1 Co 0.0000 0.5000 0.0000 1
```

Theoretical powder XRD pattern
Compound: Y8Co5
Radiation: Cu Kα X-rays
Structure: a GGA-PBE-relaxed structure
Peak positions follow from Bragg's law for the DFT cell and can differ from measured ones.

The 10 most intense peaks (2θ from 10° to 80°), by angle:
2θ = 30.36°, I 39, hkl 0 0 8; 2θ = 30.73°, I 44, hkl 2 0 -6; 2θ = 31.13°, I 100, hkl 2 1 2; 2θ = 32.33°, I 44, hkl 1 2 -5; 2θ = 32.86°, I 50, hkl 0 1 8; 2θ = 33.78°, I 47, hkl 0 2 6; 2θ = 34.38°, I 48, hkl 1 1 7; 2θ = 36.89°, I 59, hkl 1 2 -7; 2θ = 37.63°, I 42, hkl 1 0 -10; 2θ = 40.25°, I 84, hkl 1 3 1

Structural model:
```
data_Y8Co5
_symmetry_space_group_name_H-M 'P 1 21/c 1'
_symmetry_Int_Tables_number 14
_cell_length_a 7.0439
_cell_length_b 7.1992
_cell_length_c 24.0913
_cell_angle_alpha 90.00
_cell_angle_beta 102.12
_cell_angle_gamma 90.00
loop_
_symmetry_equiv_pos_as_xyz
'x,y,z'
'-x,-y,-z'
'-x,y+1/2,-z+1/2'
'x,-y+1/2,z+1/2'
loop_
_atom_site_label
_atom_site_type_symbol
_atom_site_fract_x
_atom_site_fract_y
_atom_site_fract_z
_atom_site_occupancy
Y1 Y 0.0001 0.1838 0.1654 1
Y2 Y 0.1401 0.0265 0.5647 1
Y3 Y 0.1814 0.6835 0.1965 1
Y4 Y 0.2143 0.1664 0.9417 1
Y5 Y 0.3133 0.1866 0.7980 1
Y6 Y 0.3128 0.5433 0.5850 1
Y7 Y 0.3554 0.6843 0.9626 1
Y8 Y 0.4714 0.6703 0.8230 1
Co1 Co 0.0249 0.6445 0.4822 1
Co2 Co 0.0968 0.5286 0.7653 1
Co3 Co 0.1683 0.0312 0.3676 1
Co4 Co 0.3599 0.0280 0.2175 1
Co5 Co 0.4923 0.1147 0.4046 1
```

Theoretical powder XRD pattern
Compound: Y3Co4
Radiation: Cu Kα X-rays
Structure: a GGA-PBE-relaxed structure
Peak positions follow from Bragg's law for the DFT cell and can differ from measured ones.

The 10 most intense peaks (2θ from 10° to 80°), by angle:
2θ = 33.52°, I 100, hkl 1 1 2; 2θ = 34.59°, I 69, hkl 0 1 5; 2θ = 38.49°, I 29, hkl 1 1 4; 2θ = 44.08°, I 32, hkl 0 2 0; 2θ = 44.54°, I 34, hkl 1 0 7; 2θ = 45.76°, I 15, hkl 1 1 6; 2θ = 46.80°, I 26, hkl 2 0 0; 2θ = 59.48°, I 27, hkl 2 1 5; 2θ = 64.46°, I 21, hkl 1 2 7; 2θ = 66.24°, I 18, hkl 2 2 0

Structural model:
```
data_Y3Co4
_symmetry_space_group_name_H-M 'I m m m'
_symmetry_Int_Tables_number 71
_symmetry_space_group_name_Hall '-I 2 2'
_cell_length_a 3.8823
_cell_length_b 4.1087
_cell_length_c 16.7181
_cell_angle_alpha 90.00
_cell_angle_beta 90.00
_cell_angle_gamma 90.00
loop_
_atom_site_label
_atom_site_type_symbol
_atom_site_fract_x
_atom_site_fract_y
_atom_site_fract_z
_atom_site_occupancy
Y1 Y 0.0000 0.0000 0.0000 1
Y2 Y 0.0000 0.5000 0.3141 1
Co1 Co 0.0000 0.0000 0.4323 1
Co2 Co 0.0000 0.5000 0.1333 1
```